The following is a theoretical powder X-ray diffraction pattern of TbAlZn4Cu2. It was derived from a cell relaxed with PBE, using Cu Kα, 1.54184 Å.

Atomic structure:
```
data_TbAlZn4Cu2
_chemical_formula_sum 'Tb3 Al3 Zn12 Cu6'
_cell_length_a 4.1949
_cell_length_b 4.1949
_cell_length_c 26.2498
_cell_angle_alpha 90.00
_cell_angle_beta 90.00
_cell_angle_gamma 120.00
_space_group_name_H-M_alt 'R -3 m'
_space_group_IT_number 166
_space_group_name_Hall '-R 3 2"'
loop_
_atom_site_label
_atom_site_type_symbol
_atom_site_fract_x
_atom_site_fract_y
_atom_site_fract_z
Tb1 Tb 0.0000 0.0000 0.0000
Al1 Al 0.0000 0.0000 0.5000
Zn1 Zn 0.0000 0.0000 0.1225
Zn2 Zn 0.0000 0.0000 0.3995
Cu1 Cu 0.0000 0.0000 0.2374
```

Top 10 peaks for 2θ = 15–90°, low angle first:
24.74 deg, d 3.599, I 19, hkl 1 0 1
29.91 deg, d 2.987, I 35, hkl 0 1 5
34.37 deg, d 2.609, I 18, hkl 1 0 7
36.91 deg, d 2.435, I 99, hkl 0 1 8
42.49 deg, d 2.128, I 18, hkl 1 0 10
43.13 deg, d 2.097, I 100, hkl 1 1 0
58.04 deg, d 1.589, I 26, hkl 2 0 8
65.71 deg, d 1.421, I 13, hkl 0 1 17
74.98 deg, d 1.267, I 23, hkl 1 2 8
79.08 deg, d 1.211, I 16, hkl 3 0 0


The following is a theoretical powder X-ray diffraction pattern of Tb12Sm7Y. It was derived from a cell relaxed with PBE, using Cu Kα, 1.54184 Å.

Atomic structure:
```
data_Tb12Sm7Y
_chemical_formula_sum 'Tb36 Sm21 Y3'
_cell_length_a 12.0223
_cell_length_b 12.0223
_cell_length_c 16.2002
_cell_angle_alpha 90.00
_cell_angle_beta 90.00
_cell_angle_gamma 120.00
_space_group_name_H-M_alt 'R -3'
_space_group_IT_number 148
_space_group_name_Hall '-R 3'
loop_
_atom_site_label
_atom_site_type_symbol
_atom_site_fract_x
_atom_site_fract_y
_atom_site_fract_z
Tb1 Tb 0.0229 0.4492 0.2225
Tb2 Tb 0.0507 0.5868 0.5824
Sm1 Sm 0.0000 0.0000 0.0000
Sm2 Sm 0.0554 0.1892 0.2910
Y1 Y 0.0000 0.0000 0.5000
```

Top 10 peaks for 2θ = 15–90°, low angle first:
27.91 deg, d 3.197, I 14, hkl 0 2 4
28.86 deg, d 3.094, I 23, hkl 0 1 5
30.62 deg, d 2.920, I 37, hkl 0 3 3
31.47 deg, d 2.843, I 100, hkl 4 -3 1
31.70 deg, d 2.822, I 45, hkl 2 1 4
32.55 deg, d 2.751, I 23, hkl 2 0 5
32.93 deg, d 2.720, I 47, hkl 3 1 2
36.48 deg, d 2.463, I 14, hkl 2 -1 6
50.70 deg, d 1.801, I 12, hkl 3 -2 8
55.08 deg, d 1.667, I 15, hkl 2 5 0